Entry 1:
Structure and calculated powder diffraction line list of ThAlSi2Rh5 (DFT lattice parameters and positions (PBE); copper Kα).

Main lines, in order of falling intensity (2θ from 5° to 70°):
- d 2.772, rel. 100.0, hkl 1 1 1
- d 3.225, rel. 59.6, hkl 0 0 3
- d 1.856, rel. 55.8, hkl 1 1 4
- d 2.046, rel. 47.8, hkl 2 0 0
- d 2.483, rel. 46.4, hkl 1 1 2
- d 1.728, rel. 39.1, hkl 2 0 3
- d 3.124, rel. 18.2, hkl 1 0 2
- d 1.447, rel. 15.5, hkl 2 2 0
- d 4.838, rel. 7.8, hkl 0 0 2
- d 1.608, rel. 7.6, hkl 1 1 5

Structural model:
```
data_ThAlSi2Rh5
_chemical_formula_sum 'Th1 Al1 Si2 Rh5'
_cell_length_a 4.0915
_cell_length_b 4.0915
_cell_length_c 9.6752
_cell_angle_alpha 90.00
_cell_angle_beta 90.00
_cell_angle_gamma 90.00
_symmetry_space_group_name_H-M 'P 4/m m m'
_symmetry_Int_Tables_number 123
_symmetry_space_group_name_Hall '-P 4 2'
loop_
_atom_site_label
_atom_site_type_symbol
_atom_site_fract_x
_atom_site_fract_y
_atom_site_fract_z
Th1 Th 0.0000 0.0000 0.0000
Al1 Al 0.0000 0.0000 0.5000
Si1 Si 0.5000 0.5000 0.2385
Rh1 Rh 0.0000 0.5000 0.3485
Rh2 Rh 0.5000 0.5000 0.0000
```



Entry 2:
Structure and calculated powder diffraction line list of NdGe2Rh4 (DFT lattice parameters and positions (PBE); copper Kα).

Main lines, in order of falling intensity (2θ from 5° to 70°):
- d 2.599, rel. 100.0, hkl 2 1 1
- d 2.082, rel. 56.6, hkl 3 1 1
- d 2.459, rel. 42.3, hkl 3 1 0
- d 2.249, rel. 37.2, hkl 2 2 1
- d 1.956, rel. 28.9, hkl 0 0 2
- d 1.445, rel. 28.7, hkl 5 2 0
- d 1.886, rel. 21.8, hkl 4 1 0
- d 1.531, rel. 19.2, hkl 3 1 2
- d 1.357, rel. 14.3, hkl 4 1 2
- d 1.699, rel. 11.4, hkl 4 1 1

Structural model:
```
data_NdGe2Rh4
_chemical_formula_sum 'Nd2 Ge4 Rh8'
_cell_length_a 7.7745
_cell_length_b 7.7745
_cell_length_c 3.9117
_cell_angle_alpha 90.00
_cell_angle_beta 90.00
_cell_angle_gamma 90.00
_symmetry_space_group_name_H-M 'P 42/m n m'
_symmetry_Int_Tables_number 136
_symmetry_space_group_name_Hall '-P 4n 2n'
loop_
_atom_site_label
_atom_site_type_symbol
_atom_site_fract_x
_atom_site_fract_y
_atom_site_fract_z
Nd1 Nd 0.0000 0.0000 0.0000
Ge1 Ge 0.2258 0.2258 0.5000
Rh1 Rh 0.0780 0.6608 0.5000
```



Entry 3:
Structure and calculated powder diffraction line list of CsNp2Se4 (DFT lattice parameters and positions (PBE); copper Kα).

Main lines, in order of falling intensity (2θ from 5° to 70°):
- d 8.794, rel. 100.0, hkl 0 0 1
- d 2.806, rel. 65.9, hkl 1 1 -2
- d 1.879, rel. 27.1, hkl 2 0 -4
- d 3.366, rel. 25.3, hkl 1 1 -1
- d 2.775, rel. 25.1, hkl 2 0 2
- d 2.082, rel. 22.3, hkl 3 1 0
- d 3.641, rel. 22.0, hkl 1 1 0
- d 2.283, rel. 17.6, hkl 1 1 3
- d 4.397, rel. 15.2, hkl 0 0 2
- d 1.681, rel. 14.3, hkl 2 2 2

Structural model:
```
data_CsNp2Se4
_chemical_formula_sum 'Cs1 Np2 Se4'
_cell_length_a 7.1766
_cell_length_b 4.2251
_cell_length_c 8.7937
_cell_angle_alpha 90.00
_cell_angle_beta 90.23
_cell_angle_gamma 90.00
_symmetry_space_group_name_H-M 'P 1 2/m 1'
_symmetry_Int_Tables_number 10
_symmetry_space_group_name_Hall '-P 2y'
loop_
_atom_site_label
_atom_site_type_symbol
_atom_site_fract_x
_atom_site_fract_y
_atom_site_fract_z
Cs1 Cs 0.0000 0.0000 0.0000
Np1 Np 0.0000 0.0000 0.5000
Np2 Np 0.5000 0.5000 0.5000
Se1 Se 0.1627 0.5000 0.3229
Se2 Se 0.3351 0.0000 0.6742
```



Entry 4:
Structure and calculated powder diffraction line list of CsSn2PbBr8 (DFT lattice parameters and positions (PBE); copper Kα).

Main lines, in order of falling intensity (2θ from 5° to 70°):
- d 5.405, rel. 100.0, hkl 1 1 0
- d 4.820, rel. 67.1, hkl 1 -1 0
- d 3.732, rel. 51.3, hkl 0 1 -2
- d 2.411, rel. 48.7, hkl 2 -2 0
- d 3.372, rel. 42.0, hkl 2 1 0
- d 2.047, rel. 40.9, hkl 3 0 -2
- d 4.373, rel. 39.3, hkl 0 1 2
- d 3.468, rel. 39.0, hkl -1 1 2
- d 2.417, rel. 36.7, hkl 0 0 4
- d 3.360, rel. 36.2, hkl 1 -1 2

Structural model:
```
data_CsSn2PbBr8
_chemical_formula_sum 'Cs1 Sn2 Pb1 Br8'
_cell_length_a 7.3039
_cell_length_b 7.3864
_cell_length_c 9.9152
_cell_angle_alpha 79.25
_cell_angle_beta 81.68
_cell_angle_gamma 82.07
_symmetry_space_group_name_H-M 'P -1'
_symmetry_Int_Tables_number 2
_symmetry_space_group_name_Hall '-P 1'
loop_
_atom_site_label
_atom_site_type_symbol
_atom_site_fract_x
_atom_site_fract_y
_atom_site_fract_z
Cs1 Cs 0.0000 0.0000 0.0000
Sn1 Sn 0.4698 0.4531 0.2407
Pb1 Pb 0.0000 0.0000 0.5000
Br1 Br 0.1638 0.7197 0.7313
Br2 Br 0.2151 0.7719 0.3002
Br3 Br 0.3194 0.2337 0.4717
Br4 Br 0.3762 0.2838 0.0424
```



Entry 5:
Structure and calculated powder diffraction line list of Hf4U (DFT lattice parameters and positions (PBE); copper Kα).

Main lines, in order of falling intensity (2θ from 5° to 70°):
- d 2.509, rel. 100.0, hkl 2 0 0
- d 1.774, rel. 71.9, hkl 2 2 0
- d 2.897, rel. 51.6, hkl 1 1 1
- d 5.018, rel. 33.1, hkl 1 0 0
- d 3.549, rel. 29.2, hkl 1 1 0
- d 1.449, rel. 24.9, hkl 2 2 2
- d 1.513, rel. 22.0, hkl 3 1 1
- d 2.244, rel. 17.5, hkl 2 1 0
- d 2.049, rel. 13.4, hkl 2 1 1
- d 1.673, rel. 9.0, hkl 3 0 0

Structural model:
```
data_Hf4U
_chemical_formula_sum 'Hf4 U1'
_cell_length_a 5.0185
_cell_length_b 5.0185
_cell_length_c 5.0185
_cell_angle_alpha 90.00
_cell_angle_beta 90.00
_cell_angle_gamma 90.00
_symmetry_space_group_name_H-M 'P m -3 m'
_symmetry_Int_Tables_number 221
_symmetry_space_group_name_Hall '-P 4 2 3'
loop_
_atom_site_label
_atom_site_type_symbol
_atom_site_fract_x
_atom_site_fract_y
_atom_site_fract_z
Hf1 Hf 0.0000 0.0000 0.0000
Hf2 Hf 0.0000 0.5000 0.5000
U1 U 0.5000 0.5000 0.5000
```



Entry 6:
Structure and calculated powder diffraction line list of Tb3ErTm7 (DFT lattice parameters and positions (PBE); copper Kα).

Main lines, in order of falling intensity (2θ from 5° to 70°):
- d 2.774, rel. 100.0, hkl 2 1 0
- d 2.684, rel. 63.4, hkl 0 1 3
- d 2.716, rel. 61.3, hkl 0 2 0
- d 2.751, rel. 53.5, hkl 2 1 -2
- d 2.807, rel. 26.1, hkl 1 1 2
- d 2.730, rel. 19.6, hkl 2 0 -3
- d 1.579, rel. 18.6, hkl 2 3 0
- d 2.771, rel. 17.1, hkl 2 0 1
- d 1.447, rel. 16.0, hkl 4 2 -2
- d 1.562, rel. 14.7, hkl 0 3 3

Structural model:
```
data_Tb3ErTm7
_chemical_formula_sum 'Tb3 Er1 Tm7'
_cell_length_a 6.8370
_cell_length_b 5.4321
_cell_length_c 9.8216
_cell_angle_alpha 90.00
_cell_angle_beta 109.47
_cell_angle_gamma 90.00
_symmetry_space_group_name_H-M 'P 1 2/m 1'
_symmetry_Int_Tables_number 10
_symmetry_space_group_name_Hall '-P 2y'
loop_
_atom_site_label
_atom_site_type_symbol
_atom_site_fract_x
_atom_site_fract_y
_atom_site_fract_z
Tb1 Tb 0.0000 0.0000 0.0000
Tb2 Tb 0.2779 0.5000 0.4952
Er1 Er 0.5000 0.0000 0.0000
Tm1 Tm 0.0000 0.0000 0.5000
Tm2 Tm 0.1511 0.5000 0.7903
Tm3 Tm 0.3184 0.5000 0.1388
Tm4 Tm 0.4247 0.0000 0.3303
```



What did the second record say?
Structure and calculated powder diffraction line list of NdGe2Rh4 (DFT lattice parameters and positions (PBE); copper Kα).

Main lines, in order of falling intensity (2θ from 5° to 70°):
- d 2.599, rel. 100.0, hkl 2 1 1
- d 2.082, rel. 56.6, hkl 3 1 1
- d 2.459, rel. 42.3, hkl 3 1 0
- d 2.249, rel. 37.2, hkl 2 2 1
- d 1.956, rel. 28.9, hkl 0 0 2
- d 1.445, rel. 28.7, hkl 5 2 0
- d 1.886, rel. 21.8, hkl 4 1 0
- d 1.531, rel. 19.2, hkl 3 1 2
- d 1.357, rel. 14.3, hkl 4 1 2
- d 1.699, rel. 11.4, hkl 4 1 1

Structural model:
```
data_NdGe2Rh4
_chemical_formula_sum 'Nd2 Ge4 Rh8'
_cell_length_a 7.7745
_cell_length_b 7.7745
_cell_length_c 3.9117
_cell_angle_alpha 90.00
_cell_angle_beta 90.00
_cell_angle_gamma 90.00
_symmetry_space_group_name_H-M 'P 42/m n m'
_symmetry_Int_Tables_number 136
_symmetry_space_group_name_Hall '-P 4n 2n'
loop_
_atom_site_label
_atom_site_type_symbol
_atom_site_fract_x
_atom_site_fract_y
_atom_site_fract_z
Nd1 Nd 0.0000 0.0000 0.0000
Ge1 Ge 0.2258 0.2258 0.5000
Rh1 Rh 0.0780 0.6608 0.5000
```